# LiRhPbCl6
Simulated X-ray powder pattern, Cu Kα. Input: a PBE-relaxed structure.

Cell and atoms:
```
data_LiRhPbCl6
_space_group_name_H-M_alt 'P 1'
_space_group_IT_number 1
_space_group_name_Hall 'P 1'
_cell_length_a 6.2856
_cell_length_b 6.2856
_cell_length_c 11.6783
_cell_angle_alpha 90.00
_cell_angle_beta 90.00
_cell_angle_gamma 90.00
loop_
_atom_site_label
_atom_site_type_symbol
_atom_site_fract_x
_atom_site_fract_y
_atom_site_fract_z
_atom_site_occupancy
Li1 Li 0.0000 0.0000 0.0000 1
Li2 Li 0.5000 0.5000 0.5000 1
Rh1 Rh 0.0000 0.0000 0.3222 1
Rh2 Rh 0.5000 0.5000 0.8222 1
Pb1 Pb 0.0000 0.0000 0.6621 1
Pb2 Pb 0.5000 0.5000 0.1621 1
Cl1 Cl 0.1739 0.1739 0.1677 1
Cl2 Cl 0.1906 0.1906 0.4652 1
Cl3 Cl 0.2324 0.2324 0.8323 1
Cl4 Cl 0.2676 0.7324 0.3323 1
Cl5 Cl 0.3094 0.6906 0.9652 1
Cl6 Cl 0.3261 0.6739 0.6677 1
Cl7 Cl 0.6739 0.3261 0.6677 1
Cl8 Cl 0.6906 0.3094 0.9652 1
Cl9 Cl 0.7324 0.2676 0.3323 1
Cl10 Cl 0.7676 0.7676 0.8323 1
Cl11 Cl 0.8094 0.8094 0.4652 1
Cl12 Cl 0.8261 0.8261 0.1677 1
```

Main lines, by intensity (2θ from 10° to 80°):
- 2θ 19.98, 4.445 Å, I = 1000, hkl 1 1 0
- 2θ 39.54, 2.279 Å, I = 764, hkl 2 1 3
- 2θ 16.01, 5.535 Å, I = 711, hkl 1 0 1
- 2θ 26.94, 3.309 Å, I = 512, hkl 1 0 3
- 2θ 25.18, 3.537 Å, I = 332, hkl 1 1 2
- 2θ 49.40, 1.845 Å, I = 325, hkl 3 0 3